# 1
# PtCl2
Simulated powder XRD pattern, copper Kα. Input: a cell relaxed with PBE.

Most intense lines, 15 to 90 degrees two-theta, sorted by position:
hkl 0 2 0, 2θ = 21.6°, 4.107 Å, I = 96
hkl 0 2 2, 2θ = 25.5°, 3.487 Å, I = 70
hkl 1 1 1, 2θ = 28.9°, 3.092 Å, I = 49
hkl 1 1 3, 2θ = 34.8°, 2.577 Å, I = 100
hkl 1 3 1, 2θ = 42.7°, 2.117 Å, I = 18
hkl 0 4 0, 2θ = 44.1°, 2.054 Å, I = 14
hkl 1 1 5, 2θ = 44.6°, 2.031 Å, I = 50
hkl 0 4 2, 2θ = 46.3°, 1.961 Å, I = 14
hkl 1 3 3, 2θ = 47.1°, 1.928 Å, I = 37
hkl 1 3 5, 2θ = 55.2°, 1.665 Å, I = 26

Crystal structure
Lattice parameters (Å, degrees): 3.4489 8.2148 13.2017 90.00 90.00 90.00
Space group Fmmm (No. 69)
Unique sites:
Pt: 0.0000 0.0000 0.0000
Cl: 0.0000 0.0000 0.3822

---

# 2
# Cs2NpHg2O6
Simulated powder XRD pattern, copper Kα. Input: a cell relaxed with PBE.

Most intense lines, 15 to 90 degrees two-theta, sorted by position:
hkl 0 2 1, 2θ = 22.3°, 3.985 Å, I = 20
hkl 2 0 -1, 2θ = 24.1°, 3.685 Å, I = 20
hkl 0 0 2, 2θ = 26.1°, 3.420 Å, I = 73
hkl 2 0 0, 2θ = 27.3°, 3.264 Å, I = 78
hkl 2 0 -2, 2θ = 27.7°, 3.225 Å, I = 62
hkl 1 3 0, 2θ = 30.6°, 2.922 Å, I = 100
hkl 1 3 -2, 2θ = 36.0°, 2.493 Å, I = 77
hkl 1 3 2, 2θ = 44.8°, 2.024 Å, I = 37
hkl 3 3 -2, 2θ = 46.8°, 1.941 Å, I = 32
hkl 3 3 0, 2θ = 50.4°, 1.811 Å, I = 26

Crystal structure
Lattice parameters (Å, degrees): 7.3714 9.8073 7.7240 90.00 117.68 90.00
Space group C2/m (No. 12)
Unique sites:
Cs: 0.0000 0.1962 0.0000
Np: 0.0000 0.5000 0.5000
Hg: 0.0000 0.1669 0.5000
O: 0.0652 0.3541 0.7074
O: 0.1596 0.0000 0.4190

---

# 3
# DyHoS
Simulated powder XRD pattern, copper Kα. Input: a cell relaxed with PBE.

Most intense lines, 15 to 90 degrees two-theta, sorted by position:
hkl 0 0 6, 2θ = 28.8°, 3.097 Å, I = 32
hkl 0 1 2, 2θ = 28.9°, 3.085 Å, I = 97
hkl 1 0 4, 2θ = 33.5°, 2.675 Å, I = 100
hkl 0 1 8, 2θ = 48.0°, 1.894 Å, I = 36
hkl 1 1 0, 2θ = 48.2°, 1.888 Å, I = 36
hkl 1 0 10, 2θ = 57.0°, 1.616 Å, I = 14
hkl 2 0 2, 2θ = 57.1°, 1.612 Å, I = 44
hkl 0 2 4, 2θ = 60.0°, 1.543 Å, I = 19
hkl 1 1 12, 2θ = 80.1°, 1.198 Å, I = 16
hkl 2 1 4, 2θ = 80.4°, 1.195 Å, I = 16

Crystal structure
Lattice parameters (Å, degrees): 3.7770 3.7770 18.5842 90.00 90.00 120.00
Space group R3m (No. 160, hexagonal axes)
Unique sites:
Dy: 0.0000 0.0000 0.0000
Ho: 0.0000 0.0000 0.5060
S: 0.0000 0.0000 0.7537

---

# 4
# Pm2Pd9Au
Simulated powder XRD pattern, copper Kα. Input: a cell relaxed with PBE.

Most intense lines, 15 to 90 degrees two-theta, sorted by position:
hkl 0 0 3, 2θ = 21.5°, 4.128 Å, I = 4
hkl 1 1 0, 2θ = 30.6°, 2.919 Å, I = 3
hkl 1 1 3, 2θ = 37.7°, 2.383 Å, I = 100
hkl 1 1 4, 2θ = 42.6°, 2.124 Å, I = 1
hkl 2 0 0, 2θ = 43.9°, 2.064 Å, I = 49
hkl 2 0 3, 2θ = 49.4°, 1.846 Å, I = 2
hkl 1 1 6, 2θ = 54.4°, 1.685 Å, I = 2
hkl 2 2 0, 2θ = 63.8°, 1.460 Å, I = 31
hkl 3 1 3, 2θ = 76.5°, 1.245 Å, I = 36
hkl 2 2 6, 2θ = 80.6°, 1.192 Å, I = 10

Crystal structure
Lattice parameters (Å, degrees): 4.1282 4.1282 12.3856 90.00 90.00 90.00
Space group P4/mmm (No. 123)
Unique sites:
Pm: 0.0000 0.0000 0.1727
Pd: 0.0000 0.5000 0.0000
Pd: 0.0000 0.5000 0.3419
Pd: 0.5000 0.5000 0.1698
Pd: 0.5000 0.5000 0.5000
Au: 0.0000 0.0000 0.5000

---

# 5
# PaIn2HgO8
Simulated powder XRD pattern, copper Kα. Input: a cell relaxed with PBE.

Most intense lines, 15 to 90 degrees two-theta, sorted by position:
hkl 1 0 1, 2θ = 17.4°, 5.110 Å, I = 20
hkl 2 0 0, 2θ = 26.2°, 3.402 Å, I = 83
hkl 1 1 2, 2θ = 29.6°, 3.016 Å, I = 100
hkl 2 2 0, 2θ = 37.4°, 2.406 Å, I = 23
hkl 3 1 2, 2θ = 48.4°, 1.881 Å, I = 65
hkl 4 0 0, 2θ = 53.9°, 1.701 Å, I = 15
hkl 2 0 4, 2θ = 54.6°, 1.682 Å, I = 21
hkl 4 2 0, 2θ = 60.9°, 1.522 Å, I = 14
hkl 3 3 2, 2θ = 62.7°, 1.482 Å, I = 17
hkl 4 2 4, 2θ = 80.3°, 1.196 Å, I = 14

Crystal structure
Lattice parameters (Å, degrees): 6.8046 6.8046 7.7399 90.00 90.00 90.00
Space group I-4m2 (No. 119)
Unique sites:
Pa: 0.0000 0.0000 0.0000
In: 0.0000 0.0000 0.5000
In: 0.0000 0.5000 0.2500
Hg: 0.0000 0.5000 0.7500
O: 0.0000 0.1836 0.7194
O: 0.0000 0.3015 0.0534

---

# 6
# TlAsAuCl
Simulated powder XRD pattern, copper Kα. Input: a cell relaxed with PBE.

Most intense lines, 15 to 90 degrees two-theta, sorted by position:
hkl 1 0 0, 2θ = 18.9°, 4.692 Å, I = 100
hkl 0 1 1, 2θ = 20.4°, 4.344 Å, I = 53
hkl 1 -1 0, 2θ = 26.9°, 3.315 Å, I = 79
hkl 0 1 -1, 2θ = 31.3°, 2.857 Å, I = 54
hkl 0 1 2, 2θ = 34.1°, 2.632 Å, I = 52
hkl 0 2 1, 2θ = 35.4°, 2.537 Å, I = 33
hkl 1 1 -1, 2θ = 36.8°, 2.440 Å, I = 55
hkl 2 0 0, 2θ = 38.3°, 2.349 Å, I = 41
hkl 1 2 1, 2θ = 40.4°, 2.233 Å, I = 43
hkl 2 1 -1, 2θ = 50.3°, 1.814 Å, I = 28

Crystal structure
Lattice parameters (Å, degrees): 4.6981 5.0954 5.3124 66.64 89.88 89.98
Space group P1 (No. 1)
Unique sites:
Tl: 0.0000 0.0000 0.0000
As: 0.4780 0.5190 0.6713
Au: 0.9777 0.6966 0.6137
Cl: 0.4787 0.4158 0.2764

---

# 7
# Sr6Sn12Pt11
Simulated powder XRD pattern, copper Kα. Input: a cell relaxed with PBE.

Most intense lines, 15 to 90 degrees two-theta, sorted by position:
hkl 0 4 0, 2θ = 17.0°, 5.231 Å, I = 34
hkl 1 2 3, 2θ = 20.7°, 4.293 Å, I = 37
hkl 2 4 0, 2θ = 31.9°, 2.808 Å, I = 100
hkl 1 6 3, 2θ = 31.9°, 2.802 Å, I = 71
hkl 2 0 6, 2θ = 38.2°, 2.354 Å, I = 97
hkl 0 8 6, 2θ = 44.0°, 2.058 Å, I = 40
hkl 2 8 0, 2θ = 44.1°, 2.055 Å, I = 37
hkl 1 10 3, 2θ = 47.6°, 1.912 Å, I = 22
hkl 1 6 9, 2θ = 50.6°, 1.805 Å, I = 19
hkl 4 4 6, 2θ = 65.2°, 1.430 Å, I = 19

Crystal structure
Lattice parameters (Å, degrees): 6.6436 20.9233 20.0149 90.00 90.00 90.00
Space group Ibam (No. 72)
Unique sites:
Sr: 0.2293 0.1212 0.0000
Sr: 0.2314 0.3771 0.1640
Sn: 0.0000 0.2505 0.2500
Sn: 0.0132 0.2495 0.4175
Sn: 0.2036 0.4465 0.0000
Sn: 0.2070 0.0556 0.1763
Pt: 0.0000 0.0000 0.0746
Pt: 0.0000 0.5000 0.1046
Pt: 0.0000 0.5000 0.2500
Pt: 0.2356 0.3179 0.0000
Pt: 0.2427 0.1838 0.1663